The following is a theoretical XRD peak list of Na3Mg4ScSi8O22F2. It was derived from the GGA-PBE geometry in the Materials Project, using Cu Kα (weighted mean of Kα1 and Kα2).
No peak broadening, texture or thermal motion is included.

Largest 10 diffraction maxima, low angle first, 2θ from 5° to 70°:
index	2θ/deg	I/Imax
0 1 1	10.3	58
0 0 2	19.5	31
1 -1 1	25.7	85
0 2 3	26.9	48
0 3 2	28.1	70
1 -2 0	29.5	34
1 -1 2	32.5	100
2 2 1	35.2	69
1 -2 2	40.9	38
1 6 6	64.2	37

Crystal structure
```
Na3Mg4ScSi8O22F2
1.0
5.361 0.000 0.000
2.262 9.683 0.000
1.130 4.838 9.123
Na Mg Sc Si O F
3 4 1 8 22 2
Direct
0.000 0.000 0.000
0.000 0.449 0.101
0.428 0.251 0.556
0.000 0.632 0.736
0.000 0.809 0.383
0.500 0.540 0.920
0.501 0.720 0.561
0.500 0.905 0.191
0.213 0.088 0.389
0.214 0.918 0.726
0.292 0.269 0.893
0.292 0.603 0.215
0.707 0.182 0.217
0.708 0.840 0.892
0.786 0.356 0.725
0.787 0.523 0.389
0.072 0.258 0.794
0.073 0.497 0.321
0.206 0.066 0.557
0.224 0.769 0.224
0.226 0.437 0.888
0.285 0.752 0.723
0.286 0.919 0.389
0.296 0.611 0.059
0.300 0.113 0.050
0.430 0.947 0.806
0.431 0.193 0.308
0.568 0.500 0.307
0.569 0.248 0.806
0.698 0.838 0.050
0.701 0.330 0.060
0.714 0.692 0.388
0.716 0.524 0.723
0.772 0.675 0.888
0.774 0.007 0.225
0.791 0.376 0.557
0.931 0.184 0.317
0.932 0.945 0.799
0.210 0.619 0.556
0.794 0.822 0.556
```